Diffraction record for PbAu15. The powder diffractogram is theoretical, not measured: it uses DFT lattice parameters and positions (GGA-PBE) and Cu Kα.
Lines closer than 0.1° are merged.

Most intense lines, 10° ≤ 2θ ≤ 90°, by angle:
h k l, Position (°2θ), I_rel
0 1 11, 36.01, 57
2 1 0, 37.80, 100
0 1 12, 38.17, 55
2 0 -11, 42.16, 19
2 0 11, 42.20, 19
2 0 -12, 44.09, 32
0 2 0, 44.25, 32
2 2 11, 62.77, 23
2 1 -23, 74.64, 19
4 1 11, 75.29, 14
4 1 -12, 76.64, 13
2 3 0, 77.11, 13

Atomic structure:
```
PbAu15
1.0
5.8535 0.0000 0.0000
0.0000 4.0952 0.0000
-0.0358 0.0000 34.5934
Pb Au
2 30
Cartesian
0.7365 1.0238 11.6272 Pb
5.0812 3.0714 22.9662 Pb
0.6708 1.0238 24.7891 Au
0.7251 1.0238 2.2435 Au
0.7205 1.0238 5.2455 Au
0.7241 1.0238 8.2622 Au
0.6991 1.0238 30.8598 Au
0.7058 1.0238 27.8609 Au
0.7002 1.0238 33.8512 Au
2.1629 3.0714 9.8149 Au
2.1536 3.0714 23.4962 Au
2.1806 3.0714 3.7340 Au
2.1842 3.0714 6.7333 Au
2.1947 3.0714 0.7483 Au
2.1700 3.0714 26.4095 Au
2.1642 3.0714 32.3515 Au
2.1697 3.0714 29.3778 Au
3.6480 1.0238 5.2155 Au
3.6535 1.0238 2.2419 Au
3.6477 1.0238 8.1839 Au
3.6230 1.0238 33.8451 Au
3.6335 1.0238 27.8601 Au
3.6371 1.0238 30.8593 Au
3.6641 1.0238 11.0972 Au
3.6548 1.0238 24.7784 Au
5.1175 3.0714 0.7422 Au
5.1119 3.0714 6.7325 Au
5.1186 3.0714 3.7336 Au
5.0936 3.0714 26.3312 Au
5.0972 3.0714 29.3479 Au
5.0926 3.0714 32.3499 Au
5.1468 3.0714 9.8043 Au
```